(1)
This entry pairs a crystal structure of Ca2NdSe4 with its calculated PXRD pattern. Radiation: Cu Kα X-rays. Structure: a crystal structure in Alexandria, relaxed with PBE.
Kinematic intensities with the Lorentz-polarization factor, no thermal factor.

Crystal structure
a b c (Å): 4.1090 14.3073 13.3728
angles (deg): 90.00 90.00 90.00
Space group Cmcm (No. 63)
Symmetry-distinct sites (fractional):
Ca 0.0000 0.1298 0.0666 [8 per cell]
Nd 0.0000 0.3803 0.2500 [4 per cell]
Se 0.0000 0.0254 0.2500 [4 per cell]
Se 0.0000 0.2281 0.6267 [8 per cell]
Se 0.0000 0.5000 0.0000 [4 per cell]

Principal peaks in the range 2θ = 5–70°, in order of rising 2θ:
| Position (°2θ) | intensity | index |
| --- | --- | --- |
| 14.04 | 29 | 0 2 1 |
| 23.51 | 21 | 0 2 3 |
| 29.47 | 100 | 0 2 4 |
| 30.23 | 19 | 1 1 3 |
| 31.71 | 53 | 1 3 2 |
| 40.73 | 53 | 1 5 2 |
| 43.02 | 18 | 0 6 3 |
| 44.08 | 19 | 2 0 0 |
| 53.93 | 14 | 2 2 4 |
| 63.29 | 11 | 2 6 3 |

(2)
This entry pairs a crystal structure of CaTbNd4Se8 with its calculated PXRD pattern. Radiation: Cu Kα X-rays. Structure: a crystal structure in Alexandria, relaxed with PBE.
Kinematic intensities with the Lorentz-polarization factor, no thermal factor.

Crystal structure
a b c (Å): 8.6841 8.6841 21.1140
angles (deg): 90.00 90.00 120.00
Space group R3m (No. 160, hexagonal axes)
Symmetry-distinct sites (fractional):
Ca 0.0000 0.0000 0.0000 [3 per cell]
Tb 0.0000 0.0000 0.3733 [3 per cell]
Nd 0.0000 0.0000 0.7514 [3 per cell]
Nd 0.0054 0.5027 0.8762 [9 per cell]
Se 0.0000 0.0000 0.1332 [3 per cell]
Se 0.0000 0.0000 0.6179 [3 per cell]
Se 0.0270 0.5135 0.1259 [9 per cell]
Se 0.1795 0.3589 0.9586 [9 per cell]

Principal peaks in the range 2θ = 5–70°, in order of rising 2θ:
| Position (°2θ) | intensity | index |
| --- | --- | --- |
| 12.51 | 45 | 1 0 1 |
| 24.07 | 78 | 1 1 3 |
| 24.17 | 28 | 0 1 5 |
| 29.16 | 100 | 0 2 4 |
| 38.14 | 50 | 1 2 5 |
| 41.60 | 68 | 2 2 0 |
| 41.82 | 68 | 2 0 8 |
| 51.60 | 19 | 4 0 4 |
| 60.45 | 21 | 0 4 8 |
| 68.66 | 15 | 2 2 12 |

(3)
This entry pairs a crystal structure of CaNdSi with its calculated PXRD pattern. Radiation: Cu Kα X-rays. Structure: a crystal structure in Alexandria, relaxed with PBE.
Kinematic intensities with the Lorentz-polarization factor, no thermal factor.

Crystal structure
a b c (Å): 11.4169 4.4347 8.1169
angles (deg): 90.00 123.61 90.00
Space group Cm (No. 8)
Symmetry-distinct sites (fractional):
Ca 0.0000 0.0000 0.0000 [2 per cell]
Ca 0.0956 0.5000 0.7314 [2 per cell]
Nd 0.2601 0.5000 0.4531 [2 per cell]
Nd 0.3655 0.0000 0.1758 [2 per cell]
Si 0.0536 0.0000 0.4348 [2 per cell]
Si 0.2970 0.0000 0.7409 [2 per cell]

Principal peaks in the range 2θ = 5–70°, in order of rising 2θ:
| Position (°2θ) | intensity | index |
| --- | --- | --- |
| 13.10 | 50 | 0 0 1 |
| 18.66 | 36 | 2 0 0 |
| 22.95 | 77 | 1 1 -1 |
| 28.32 | 86 | 2 0 1 |
| 30.31 | 100 | 1 1 -2 |
| 31.06 | 100 | 3 1 -1 |
| 31.86 | 39 | 4 0 -2 |
| 34.79 | 42 | 3 1 0 |
| 38.61 | 40 | 1 1 2 |
| 40.69 | 37 | 0 2 0 |

Copy entry 3 word for word.
This entry pairs a crystal structure of CaNdSi with its calculated PXRD pattern. Radiation: Cu Kα X-rays. Structure: a crystal structure in Alexandria, relaxed with PBE.
Kinematic intensities with the Lorentz-polarization factor, no thermal factor.

Crystal structure
a b c (Å): 11.4169 4.4347 8.1169
angles (deg): 90.00 123.61 90.00
Space group Cm (No. 8)
Symmetry-distinct sites (fractional):
Ca 0.0000 0.0000 0.0000 [2 per cell]
Ca 0.0956 0.5000 0.7314 [2 per cell]
Nd 0.2601 0.5000 0.4531 [2 per cell]
Nd 0.3655 0.0000 0.1758 [2 per cell]
Si 0.0536 0.0000 0.4348 [2 per cell]
Si 0.2970 0.0000 0.7409 [2 per cell]

Principal peaks in the range 2θ = 5–70°, in order of rising 2θ:
| Position (°2θ) | intensity | index |
| --- | --- | --- |
| 13.10 | 50 | 0 0 1 |
| 18.66 | 36 | 2 0 0 |
| 22.95 | 77 | 1 1 -1 |
| 28.32 | 86 | 2 0 1 |
| 30.31 | 100 | 1 1 -2 |
| 31.06 | 100 | 3 1 -1 |
| 31.86 | 39 | 4 0 -2 |
| 34.79 | 42 | 3 1 0 |
| 38.61 | 40 | 1 1 2 |
| 40.69 | 37 | 0 2 0 |